No. 1
# YHoThCo
Simulated powder diffractogram, a wavelength of 1.5418 Å. Input: a DFT-relaxed cell (GGA-PBE, Alexandria).
Lines closer than 0.1° are merged.

Principal peaks in the range 5° ≤ 2θ ≤ 70°, sorted by position:
2θ 9.58, I 28.1; 2θ 27.66, I 43.1; 2θ 29.33, I 48.6; 2θ 33.90, I 100.0; 2θ 40.51, I 27.2; 2θ 48.91, I 33.5

Cell lengths 6.447, 3.727, 9.234 Å; angles 90.00, 90.02, 90.00 degrees
Fractional coordinates of all 8 atoms:
Y (0.000, 0.000, 0.000)
Y (0.500, 0.500, 0.000)
Ho (0.334, 0.000, 0.308)
Ho (0.834, 0.500, 0.308)
Th (0.000, 0.000, 0.627)
Th (0.500, 0.500, 0.627)
Co (0.333, 0.000, 0.799)
Co (0.833, 0.500, 0.799)

=====

No. 2
# HoTiCo11
Simulated powder diffractogram, a wavelength of 1.5418 Å. Input: a DFT-relaxed cell (GGA-PBE, Alexandria).
Lines closer than 0.1° are merged.

Principal peaks in the range 5° ≤ 2θ ≤ 70°, sorted by position:
2θ 30.71, I 37.1; 2θ 37.72, I 45.0; 2θ 43.53, I 57.2; 2θ 43.76, I 100.0; 2θ 44.45, I 69.9; 2θ 49.83, I 23.6

Cell lengths 6.329, 6.329, 6.329 Å; angles 136.64, 97.77, 97.92 degrees
Fractional coordinates of all 13 atoms:
Ho (0.000, 0.000, 0.000)
Ti (0.377, 0.377, 0.000)
Co (0.002, 0.003, 0.496)
Co (0.002, 0.507, 0.000)
Co (0.224, 0.508, 0.717)
Co (0.228, 0.728, 0.500)
Co (0.366, 0.008, 0.358)
Co (0.507, 0.003, 0.000)
Co (0.507, 0.507, 0.504)
Co (0.650, 0.008, 0.642)
Co (0.654, 0.654, 0.000)
Co (0.781, 0.281, 0.500)
Co (0.791, 0.508, 0.283)

=====

No. 3
# Ho4Tl3Co
Simulated powder diffractogram, a wavelength of 1.5418 Å. Input: a DFT-relaxed cell (GGA-PBE, Alexandria).
Lines closer than 0.1° are merged.

Principal peaks in the range 5° ≤ 2θ ≤ 70°, sorted by position:
2θ 30.38, I 15.4; 2θ 33.92, I 100.0; 2θ 35.92, I 50.1; 2θ 51.71, I 18.4; 2θ 59.36, I 12.3; 2θ 63.29, I 34.0

Cell lengths 3.535, 3.535, 15.920 Å; angles 90.00, 90.00, 90.00 degrees
Fractional coordinates of all 8 atoms:
Ho (0.000, 0.000, 0.100)
Ho (0.000, 0.000, 0.366)
Ho (0.000, 0.000, 0.634)
Ho (0.000, 0.000, 0.900)
Tl (0.500, 0.500, 0.235)
Tl (0.500, 0.500, 0.500)
Tl (0.500, 0.500, 0.765)
Co (0.500, 0.500, 0.000)

=====

Please write out number 1 again, unchanged.
# YHoThCo
Simulated powder diffractogram, a wavelength of 1.5418 Å. Input: a DFT-relaxed cell (GGA-PBE, Alexandria).
Lines closer than 0.1° are merged.

Principal peaks in the range 5° ≤ 2θ ≤ 70°, sorted by position:
2θ 9.58, I 28.1; 2θ 27.66, I 43.1; 2θ 29.33, I 48.6; 2θ 33.90, I 100.0; 2θ 40.51, I 27.2; 2θ 48.91, I 33.5

Cell lengths 6.447, 3.727, 9.234 Å; angles 90.00, 90.02, 90.00 degrees
Fractional coordinates of all 8 atoms:
Y (0.000, 0.000, 0.000)
Y (0.500, 0.500, 0.000)
Ho (0.334, 0.000, 0.308)
Ho (0.834, 0.500, 0.308)
Th (0.000, 0.000, 0.627)
Th (0.500, 0.500, 0.627)
Co (0.333, 0.000, 0.799)
Co (0.833, 0.500, 0.799)

=====

- What is the formula in the first record?
  YHoThCo